Theoretical X-ray powder pattern of Co2HgPt for Cu Kα X-rays, from a structure optimized by DFT (GGA-PBE).
No peak broadening, texture or thermal motion is included.

Crystal structure
```
Co2HgPt
1.0
2.791 0.000 0.000
-1.395 2.417 0.000
0.000 0.000 26.672
Co Hg Pt
6 3 3
Direct
0.000 0.000 0.000
0.000 0.000 0.266
0.333 0.667 0.667
0.333 0.667 0.933
0.667 0.333 0.333
0.667 0.333 0.599
0.000 0.000 0.755
0.333 0.667 0.422
0.667 0.333 0.089
0.000 0.000 0.520
0.333 0.667 0.187
0.667 0.333 0.853
```

Largest 10 diffraction maxima, sorted by position, 2θ = 10–80°:
| d/Å | I (rel.) |
| --- | --- |
| 2.964 | 28.5 |
| 2.407 | 19.7 |
| 2.272 | 100.0 |
| 2.223 | 22.7 |
| 2.202 | 26.3 |
| 1.957 | 56.8 |
| 1.564 | 17.1 |
| 1.395 | 21.8 |
| 1.316 | 11.2 |
| 1.262 | 13.5 |